Entry 1:
For Na2HoMoPO8, a cell relaxed with GGA+U gives the calculated PXRD pattern in this record (Cu Kα (weighted mean of Kα1 and Kα2)).
Kinematic intensities with the Lorentz-polarization factor, no thermal factor.

Peak list (8 most intense, 2θ from 10° to 90°, by angle)
| d (Å) | two_theta | I (rel.) |
| --- | --- | --- |
| 6.094 | 14.54 | 55 |
| 5.023 | 17.66 | 35 |
| 4.438 | 20.00 | 42 |
| 3.271 | 27.27 | 33 |
| 3.239 | 27.54 | 100 |
| 3.031 | 29.47 | 40 |
| 2.757 | 32.48 | 71 |
| 2.533 | 35.44 | 44 |

Structure:
```
52
Lattice="-3.466 6.094 9.092 3.466 -6.094 9.092 3.466 6.094 -9.092" Properties=species:S:1:pos:R:3 pbc="T T T"
Na 3.541 -0.686 2.785
Na 0.075 0.686 2.785
Na 3.541 5.409 -2.785
Na 3.541 0.686 6.307
Na -0.075 5.409 2.785
Na -0.075 0.686 11.876
Na 3.391 5.409 6.307
Na -0.075 6.780 6.307
Ho 5.199 2.169 0.000
Ho 1.733 3.925 0.000
Ho 1.733 2.169 9.092
Ho -1.733 3.925 9.092
Mo 3.466 -3.047 5.858
Mo 3.466 3.047 3.234
Mo 0.000 3.047 5.858
Mo 0.000 9.141 3.234
P 1.733 0.842 0.000
P 1.733 -0.842 9.092
P 1.733 6.936 0.000
P 1.733 5.252 9.092
O 1.822 -0.085 1.237
O 5.288 0.085 1.237
O 3.173 4.508 -4.876
O 2.010 -3.351 6.897
O 3.173 -1.586 4.876
O 2.945 1.812 -0.146
O 1.457 3.351 -2.195
O 0.521 1.812 0.146
O 3.987 4.282 -0.146
O 4.923 2.744 2.195
O 2.945 -1.812 9.238
O 3.173 1.586 4.215
O 2.010 3.351 2.195
O -0.293 1.586 4.876
O 1.822 6.009 -1.237
O 1.822 0.085 7.855
O 1.644 6.009 1.237
O 1.644 0.085 10.329
O 3.759 4.508 4.215
O 1.457 2.744 6.897
O 0.293 4.508 4.876
O 0.521 7.906 -0.146
O -1.457 3.351 6.897
O -0.521 1.812 9.238
O 2.945 4.282 8.946
O 2.010 2.744 11.287
O 0.521 4.282 9.238
O 0.293 7.680 4.215
O 1.457 9.445 2.195
O 0.293 1.586 13.968
O -1.822 6.009 7.855
O 1.644 6.179 7.855
```

Entry 2:
For HoMoO5, a cell relaxed with GGA+U gives the calculated PXRD pattern in this record (Cu Kα (weighted mean of Kα1 and Kα2)).
Kinematic intensities with the Lorentz-polarization factor, no thermal factor.

Peak list (8 most intense, 2θ from 10° to 90°, by angle)
| d (Å) | two_theta | I (rel.) |
| --- | --- | --- |
| 6.228 | 14.22 | 100 |
| 4.490 | 19.77 | 55 |
| 3.895 | 22.83 | 69 |
| 3.355 | 26.57 | 54 |
| 3.192 | 27.95 | 56 |
| 3.095 | 28.84 | 56 |
| 2.783 | 32.16 | 56 |
| 1.969 | 46.11 | 64 |

Structure:
```
28
Lattice="5.339 0.000 0.000 0.000 12.456 0.000 -2.983 0.000 6.217" Properties=species:S:1:pos:R:3 pbc="T T T"
Ho -0.093 0.665 1.794
Ho -1.584 5.563 4.902
Ho 3.940 6.893 1.315
Ho 2.449 11.791 4.423
Mo -0.357 1.739 5.327
Mo 1.135 4.489 2.218
Mo 1.222 7.967 3.998
Mo 2.713 10.717 0.890
O -2.811 7.242 5.929
O -1.319 11.441 2.820
O -1.791 0.785 6.010
O -0.300 5.442 2.902
O 0.155 8.137 2.597
O -1.337 10.546 5.706
O 0.710 2.820 1.799
O -0.781 3.408 4.907
O 0.098 7.132 5.237
O 1.590 11.552 2.129
O 0.767 0.904 4.088
O 2.258 5.324 0.980
O 3.138 9.048 1.309
O 1.646 9.636 4.418
O 3.693 1.909 0.511
O 2.202 4.318 3.620
O 2.657 7.013 3.315
O 4.148 11.670 0.206
O 3.676 1.014 3.396
O 5.167 5.213 0.288
```

Entry 3:
For HoMo2O6, a cell relaxed with GGA+U gives the calculated PXRD pattern in this record (Cu Kα (weighted mean of Kα1 and Kα2)).
Kinematic intensities with the Lorentz-polarization factor, no thermal factor.

Peak list (8 most intense, 2θ from 10° to 90°, by angle)
| d (Å) | two_theta | I (rel.) |
| --- | --- | --- |
| 4.574 | 19.41 | 42 |
| 4.435 | 20.02 | 49 |
| 2.817 | 31.76 | 20 |
| 2.760 | 32.43 | 100 |
| 2.690 | 33.31 | 25 |
| 2.319 | 38.84 | 14 |
| 1.958 | 46.36 | 16 |
| 1.566 | 58.97 | 23 |

Structure:
```
18
Lattice="5.380 0.000 0.000 0.000 7.834 0.000 -0.015 0.000 5.634" Properties=species:S:1:pos:R:3 pbc="T T T"
Ho 0.000 0.000 0.000
Ho 2.642 3.917 3.645
Mo 0.045 1.966 3.190
Mo 0.045 5.868 3.190
Mo 2.763 1.963 0.506
Mo 2.763 5.871 0.506
O 0.511 0.000 3.455
O 1.169 2.293 4.767
O 1.169 5.540 4.767
O 1.794 2.412 2.189
O 1.794 5.422 2.189
O 2.153 0.000 0.553
O 3.178 3.917 0.210
O 3.914 1.619 4.470
O 3.914 6.215 4.470
O 4.565 1.512 1.544
O 4.565 6.322 1.544
O 4.794 3.917 3.098
```

Entry 4:
For Ho2Mo3O12, a cell relaxed with GGA+U gives the calculated PXRD pattern in this record (Cu Kα (weighted mean of Kα1 and Kα2)).
Kinematic intensities with the Lorentz-polarization factor, no thermal factor.

Peak list (8 most intense, 2θ from 10° to 90°, by angle)
| d (Å) | two_theta | I (rel.) |
| --- | --- | --- |
| 5.341 | 16.60 | 69 |
| 4.718 | 18.81 | 90 |
| 3.747 | 23.74 | 68 |
| 3.718 | 23.93 | 71 |
| 3.512 | 25.36 | 75 |
| 3.326 | 26.81 | 100 |
| 3.052 | 29.27 | 94 |
| 2.948 | 30.31 | 76 |

Structure:
```
34
Lattice="7.437 0.000 0.000 0.000 7.437 0.000 0.000 0.000 10.682" Properties=species:S:1:pos:R:3 pbc="T T T"
Ho 1.397 2.321 2.799
Ho 2.321 6.040 7.883
Ho 5.116 1.397 7.883
Ho 6.040 5.116 2.799
Mo 0.000 0.000 0.000
Mo 1.541 2.177 6.870
Mo 2.177 5.896 3.812
Mo 3.718 3.718 0.000
Mo 5.260 1.541 3.812
Mo 5.896 5.260 6.870
O 0.049 5.768 7.494
O 0.323 1.411 1.055
O 0.931 4.650 3.306
O 1.411 7.114 9.628
O 1.451 2.267 5.092
O 1.669 0.049 3.188
O 2.049 3.767 7.494
O 2.267 5.986 5.590
O 2.307 3.396 1.055
O 2.787 0.931 7.376
O 3.396 5.130 9.628
O 3.670 2.049 3.188
O 3.767 5.388 3.188
O 4.041 2.307 9.628
O 4.650 6.505 7.376
O 5.130 4.041 1.055
O 5.170 1.451 5.590
O 5.388 3.670 7.494
O 5.768 7.388 3.188
O 5.986 5.170 5.092
O 6.026 0.323 9.628
O 6.505 2.787 3.306
O 7.114 6.026 1.055
O 7.388 1.669 7.494
```

What did the fourth record say?
For Ho2Mo3O12, a cell relaxed with GGA+U gives the calculated PXRD pattern in this record (Cu Kα (weighted mean of Kα1 and Kα2)).
Kinematic intensities with the Lorentz-polarization factor, no thermal factor.

Peak list (8 most intense, 2θ from 10° to 90°, by angle)
| d (Å) | two_theta | I (rel.) |
| --- | --- | --- |
| 5.341 | 16.60 | 69 |
| 4.718 | 18.81 | 90 |
| 3.747 | 23.74 | 68 |
| 3.718 | 23.93 | 71 |
| 3.512 | 25.36 | 75 |
| 3.326 | 26.81 | 100 |
| 3.052 | 29.27 | 94 |
| 2.948 | 30.31 | 76 |

Structure:
```
34
Lattice="7.437 0.000 0.000 0.000 7.437 0.000 0.000 0.000 10.682" Properties=species:S:1:pos:R:3 pbc="T T T"
Ho 1.397 2.321 2.799
Ho 2.321 6.040 7.883
Ho 5.116 1.397 7.883
Ho 6.040 5.116 2.799
Mo 0.000 0.000 0.000
Mo 1.541 2.177 6.870
Mo 2.177 5.896 3.812
Mo 3.718 3.718 0.000
Mo 5.260 1.541 3.812
Mo 5.896 5.260 6.870
O 0.049 5.768 7.494
O 0.323 1.411 1.055
O 0.931 4.650 3.306
O 1.411 7.114 9.628
O 1.451 2.267 5.092
O 1.669 0.049 3.188
O 2.049 3.767 7.494
O 2.267 5.986 5.590
O 2.307 3.396 1.055
O 2.787 0.931 7.376
O 3.396 5.130 9.628
O 3.670 2.049 3.188
O 3.767 5.388 3.188
O 4.041 2.307 9.628
O 4.650 6.505 7.376
O 5.130 4.041 1.055
O 5.170 1.451 5.590
O 5.388 3.670 7.494
O 5.768 7.388 3.188
O 5.986 5.170 5.092
O 6.026 0.323 9.628
O 6.505 2.787 3.306
O 7.114 6.026 1.055
O 7.388 1.669 7.494
```